CaReCl6: calculated powder X-ray diffraction pattern (λ = 1.5418 Å (Cu Kα)), based on a PBE-relaxed structure.
Peak positions follow from Bragg's law for the DFT cell and can differ from measured ones.

Largest 10 diffraction maxima, by intensity, 2θ from 10° to 90°:
d (Å)  Rel. int.
4.721  100
5.330  64
2.172  49
2.829  48
3.459  41
5.870  26
1.864  23
2.055  19
2.665  19
1.905  18

Cell and atoms:
a b c (Å): 6.953 6.953 6.953
angles (deg): 55.33 55.33 55.33
Sites, in units of the cell vectors:
1 Ca 0.000 0.000 0.000
2 Re 0.500 0.500 0.500
3 Cl 0.116 0.432 0.719
4 Cl 0.281 0.884 0.568
5 Cl 0.432 0.719 0.116
6 Cl 0.568 0.281 0.884
7 Cl 0.719 0.116 0.432
8 Cl 0.884 0.568 0.281